Record 1
For V6O13, a structure optimized by DFT (PBE+U) gives the computed powder diffraction line list in this record (copper Kα).
Lines closer than 0.1° are merged.

Crystal structure
Cell lengths 10.253, 3.753, 12.224 Å; angles 90.00, 100.82, 90.00 degrees
Fractional positions:
V: 0.000 0.207 0.000
V: 0.000 0.793 0.500
V: 0.007 0.268 0.296
V: 0.007 0.732 0.796
V: 0.368 0.249 0.070
V: 0.368 0.751 0.570
V: 0.371 0.252 0.371
V: 0.371 0.748 0.871
V: 0.637 0.248 0.941
V: 0.637 0.752 0.441
V: 0.639 0.252 0.242
V: 0.639 0.748 0.742
O: 0.003 0.242 0.838
O: 0.003 0.250 0.155
O: 0.003 0.260 0.476
O: 0.003 0.740 0.976
O: 0.003 0.750 0.655
O: 0.003 0.758 0.338
O: 0.201 0.246 0.041
O: 0.201 0.754 0.541
O: 0.203 0.258 0.333
O: 0.203 0.742 0.833
O: 0.389 0.251 0.537
O: 0.389 0.749 0.037
O: 0.412 0.251 0.216
O: 0.412 0.749 0.716
O: 0.416 0.248 0.911
O: 0.416 0.752 0.411
O: 0.591 0.252 0.401
O: 0.591 0.748 0.901
O: 0.594 0.250 0.096
O: 0.594 0.750 0.596
O: 0.617 0.248 0.775
O: 0.617 0.752 0.275
O: 0.805 0.243 0.978
O: 0.805 0.257 0.269
O: 0.805 0.743 0.769
O: 0.805 0.757 0.478

Top 8 peaks for 10° ≤ 2θ ≤ 90°, in order of rising 2θ:
| 2theta | I/Imax |
| --- | --- |
| 14.8 | 39 |
| 17.6 | 29 |
| 24.9 | 100 |
| 26.6 | 72 |
| 29.4 | 38 |
| 32.8 | 41 |
| 44.5 | 32 |
| 48.5 | 36 |

Record 2
For V3O7, a structure optimized by DFT (PBE+U) gives the computed powder diffraction line list in this record (copper Kα).
Lines closer than 0.1° are merged.

Crystal structure
Cell lengths 10.928, 10.928, 9.763 Å; angles 90.00, 90.00, 120.00 degrees
Fractional positions:
V: 0.117 0.307 0.000
V: 0.119 0.800 0.701
V: 0.156 0.315 0.350
V: 0.158 0.844 0.350
V: 0.191 0.883 0.000
V: 0.200 0.320 0.701
V: 0.307 0.117 0.500
V: 0.315 0.156 0.850
V: 0.320 0.200 0.201
V: 0.680 0.881 0.701
V: 0.685 0.842 0.350
V: 0.693 0.809 0.000
V: 0.800 0.119 0.201
V: 0.809 0.693 0.500
V: 0.842 0.685 0.850
V: 0.844 0.158 0.850
V: 0.881 0.680 0.201
V: 0.883 0.191 0.500
O: 0.035 0.288 0.814
O: 0.035 0.747 0.894
O: 0.076 0.253 0.533
O: 0.083 0.826 0.166
O: 0.157 0.467 0.034
O: 0.158 0.681 0.660
O: 0.174 0.257 0.166
O: 0.177 0.924 0.533
O: 0.241 0.758 0.350
O: 0.242 0.483 0.350
O: 0.253 0.076 0.033
O: 0.253 0.288 0.894
O: 0.253 0.965 0.814
O: 0.257 0.174 0.666
O: 0.288 0.035 0.314
O: 0.288 0.253 0.394
O: 0.310 0.843 0.034
O: 0.319 0.478 0.660
O: 0.467 0.157 0.534
O: 0.478 0.319 0.160
O: 0.483 0.242 0.850
O: 0.517 0.759 0.350
O: 0.522 0.842 0.660
O: 0.533 0.690 0.034
O: 0.681 0.158 0.160
O: 0.690 0.533 0.534
O: 0.712 0.747 0.814
O: 0.712 0.965 0.894
O: 0.743 0.917 0.166
O: 0.747 0.035 0.394
O: 0.747 0.712 0.314
O: 0.747 0.823 0.533
O: 0.758 0.241 0.850
O: 0.759 0.517 0.850
O: 0.823 0.747 0.033
O: 0.826 0.083 0.666
O: 0.842 0.522 0.160
O: 0.843 0.310 0.534
O: 0.917 0.743 0.666
O: 0.924 0.177 0.033
O: 0.965 0.253 0.314
O: 0.965 0.712 0.394

Top 8 peaks for 10° ≤ 2θ ≤ 90°, in order of rising 2θ:
| 2theta | I/Imax |
| --- | --- |
| 16.2 | 60 |
| 18.8 | 100 |
| 24.5 | 14 |
| 26.5 | 15 |
| 29.0 | 19 |
| 32.8 | 22 |
| 33.4 | 42 |
| 58.9 | 14 |

Record 3
For V2O3, a structure optimized by DFT (PBE+U) gives the computed powder diffraction line list in this record (copper Kα).
Lines closer than 0.1° are merged.

Crystal structure
Cell lengths 6.920, 6.920, 6.920 Å; angles 51.38, 51.38, 51.38 degrees
Fractional positions:
V: 0.078 0.078 0.078
V: 0.422 0.422 0.422
V: 0.578 0.578 0.578
V: 0.922 0.922 0.922
O: 0.162 0.750 0.338
O: 0.250 0.662 0.838
O: 0.338 0.162 0.750
O: 0.662 0.838 0.250
O: 0.750 0.338 0.162
O: 0.838 0.250 0.662

Top 8 peaks for 10° ≤ 2θ ≤ 90°, in order of rising 2θ:
| 2theta | I/Imax |
| --- | --- |
| 19.7 | 100 |
| 26.2 | 26 |
| 29.8 | 100 |
| 42.7 | 31 |
| 43.9 | 16 |
| 52.9 | 18 |
| 61.9 | 28 |
| 70.2 | 16 |

Record 4
For V2O3, a structure optimized by DFT (PBE+U) gives the computed powder diffraction line list in this record (copper Kα).
Lines closer than 0.1° are merged.

Crystal structure
Cell lengths 5.104, 5.106, 5.525 Å; angles 91.22, 116.29, 119.20 degrees
Fractional positions:
V: 0.200 0.343 0.049
V: 0.204 0.850 0.549
V: 0.796 0.150 0.451
V: 0.800 0.657 0.951
O: 0.001 0.550 0.755
O: 0.297 0.248 0.745
O: 0.315 0.065 0.250
O: 0.685 0.935 0.750
O: 0.703 0.752 0.255
O: 0.999 0.450 0.245

Top 8 peaks for 10° ≤ 2θ ≤ 90°, in order of rising 2θ:
| 2theta | I/Imax |
| --- | --- |
| 23.4 | 34 |
| 24.1 | 42 |
| 32.0 | 66 |
| 32.3 | 64 |
| 32.6 | 63 |
| 34.7 | 58 |
| 35.2 | 100 |
| 62.5 | 55 |

Record 5
For V2O5, a structure optimized by DFT (PBE+U) gives the computed powder diffraction line list in this record (copper Kα).
Lines closer than 0.1° are merged.

Crystal structure
Cell lengths 6.290, 6.597, 7.364 Å; angles 77.37, 80.02, 75.91 degrees
Fractional positions:
V: 0.164 0.216 0.063
V: 0.320 0.664 0.107
V: 0.680 0.336 0.893
V: 0.836 0.784 0.937
O: 0.024 0.202 0.268
O: 0.025 0.669 0.107
O: 0.286 0.953 0.026
O: 0.359 0.618 0.322
O: 0.381 0.374 0.037
O: 0.619 0.626 0.963
O: 0.641 0.382 0.678
O: 0.714 0.047 0.974
O: 0.975 0.331 0.893
O: 0.976 0.798 0.732

Top 8 peaks for 10° ≤ 2θ ≤ 90°, in order of rising 2θ:
| 2theta | I/Imax |
| --- | --- |
| 12.4 | 100 |
| 18.0 | 12 |
| 20.4 | 12 |
| 26.1 | 6 |
| 27.4 | 7 |
| 28.8 | 11 |
| 29.1 | 7 |
| 29.9 | 14 |

Record 6
For VO2, a structure optimized by DFT (PBE+U) gives the computed powder diffraction line list in this record (copper Kα).
Lines closer than 0.1° are merged.

Crystal structure
Cell lengths 6.184, 6.184, 5.655 Å; angles 92.69, 92.69, 84.75 degrees
Fractional positions:
V: 0.000 0.000 0.000
V: 0.053 0.423 0.249
V: 0.423 0.053 0.249
V: 0.500 0.500 0.500
V: 0.577 0.947 0.751
V: 0.947 0.577 0.751
O: 0.026 0.691 0.062
O: 0.114 0.114 0.305
O: 0.188 0.528 0.584
O: 0.309 0.974 0.938
O: 0.384 0.384 0.214
O: 0.472 0.812 0.416
O: 0.528 0.188 0.584
O: 0.616 0.616 0.786
O: 0.691 0.026 0.062
O: 0.812 0.472 0.416
O: 0.886 0.886 0.695
O: 0.974 0.309 0.938

Top 8 peaks for 10° ≤ 2θ ≤ 90°, in order of rising 2θ:
| 2theta | I/Imax |
| --- | --- |
| 19.5 | 17 |
| 20.9 | 100 |
| 29.0 | 57 |
| 38.6 | 39 |
| 46.5 | 46 |
| 51.4 | 13 |
| 58.0 | 12 |
| 59.7 | 12 |

Record 7
For V2WO6, a structure optimized by DFT (PBE+U) gives the computed powder diffraction line list in this record (copper Kα).
Lines closer than 0.1° are merged.

Crystal structure
Cell lengths 4.700, 4.700, 9.179 Å; angles 90.00, 90.00, 90.00 degrees
Fractional positions:
V: 0.000 0.000 0.165
V: 0.000 0.000 0.835
V: 0.500 0.500 0.335
V: 0.500 0.500 0.665
W: 0.000 0.000 0.500
W: 0.500 0.500 0.000
O: 0.196 0.196 0.341
O: 0.196 0.196 0.659
O: 0.207 0.207 0.000
O: 0.293 0.707 0.500
O: 0.304 0.696 0.159
O: 0.304 0.696 0.841
O: 0.696 0.304 0.159
O: 0.696 0.304 0.841
O: 0.707 0.293 0.500
O: 0.793 0.793 0.000
O: 0.804 0.804 0.341
O: 0.804 0.804 0.659

Top 8 peaks for 10° ≤ 2θ ≤ 90°, in order of rising 2θ:
| 2theta | I/Imax |
| --- | --- |
| 19.3 | 24 |
| 21.2 | 69 |
| 26.8 | 100 |
| 33.3 | 23 |
| 35.0 | 73 |
| 44.2 | 21 |
| 52.8 | 64 |
| 67.1 | 19 |